# 1
Simulated powder diffraction line list
Compound: PuZnPb2O6
Radiation: Cu Ka
Structure: a structure optimized by DFT (PBE)

Peak list (10 most intense, 2θ from 15° to 90°, by angle)
2θ 18.39, d 4.825, rel. 21
2θ 30.10, d 2.969, rel. 66
2θ 30.30, d 2.950, rel. 31
2θ 30.45, d 2.935, rel. 100
2θ 43.19, d 2.095, rel. 17
2θ 43.50, d 2.080, rel. 30
2θ 53.69, d 1.707, rel. 37
2θ 53.92, d 1.700, rel. 11
2θ 54.34, d 1.688, rel. 15
2θ 63.37, d 1.468, rel. 14

Atomic structure:
Lattice parameters (Å, degrees): 5.8692 5.8995 10.1559 90.00 124.41 90.00
Atoms (fractional coordinates):
Pu 0.0000 0.0000 0.0000
Pu 0.0000 0.5000 0.5000
Zn 0.5000 0.0000 0.5000
Zn 0.5000 0.5000 0.0000
Pb 0.2803 0.0402 0.7632
Pb 0.2803 0.4598 0.2632
Pb 0.7197 0.5402 0.7368
Pb 0.7197 0.9598 0.2368
O 0.1567 0.2257 0.4665
O 0.1567 0.2743 0.9665
O 0.2789 0.6960 0.4788
O 0.2789 0.8040 0.9788
O 0.3210 0.0271 0.2544
O 0.3210 0.4729 0.7544
O 0.6790 0.5271 0.2456
O 0.6790 0.9729 0.7456
O 0.7211 0.1960 0.0212
O 0.7211 0.3040 0.5212
O 0.8433 0.7257 0.0335
O 0.8433 0.7743 0.5335

---

# 2
Simulated powder diffraction line list
Compound: PuZrPb2O6
Radiation: Cu Ka
Structure: a structure optimized by DFT (PBE)

Peak list (10 most intense, 2θ from 15° to 90°, by angle)
2θ 18.12, d 4.896, rel. 18
2θ 29.25, d 3.054, rel. 30
2θ 29.65, d 3.013, rel. 100
2θ 29.98, d 2.980, rel. 65
2θ 42.12, d 2.145, rel. 33
2θ 43.24, d 2.092, rel. 15
2θ 52.56, d 1.741, rel. 27
2θ 52.80, d 1.734, rel. 14
2θ 53.29, d 1.719, rel. 16
2θ 61.56, d 1.507, rel. 15

Atomic structure:
Lattice parameters (Å, degrees): 5.9621 5.9621 6.1079 120.11 120.11 60.76
Atoms (fractional coordinates):
Pu 0.0000 0.0000 0.0000
Zr 0.5000 0.5000 0.5000
Pb 0.2472 0.2472 0.7176
Pb 0.7528 0.7528 0.2824
O 0.1983 0.6904 0.6863
O 0.2547 0.2547 0.1685
O 0.3096 0.8017 0.3137
O 0.6904 0.1983 0.6863
O 0.7453 0.7453 0.8315
O 0.8017 0.3096 0.3137

---

# 3
Simulated powder diffraction line list
Compound: RbPb4O8
Radiation: Cu Ka
Structure: a structure optimized by DFT (PBE)

Peak list (10 most intense, 2θ from 15° to 90°, by angle)
2θ 16.00, d 5.539, rel. 29
2θ 24.65, d 3.612, rel. 42
2θ 25.15, d 3.541, rel. 43
2θ 25.50, d 3.494, rel. 22
2θ 30.91, d 2.893, rel. 60
2θ 31.11, d 2.875, rel. 100
2θ 31.34, d 2.854, rel. 39
2θ 42.52, d 2.126, rel. 25
2θ 50.44, d 1.809, rel. 29
2θ 51.01, d 1.790, rel. 23

Atomic structure:
Lattice parameters (Å, degrees): 8.1017 8.1017 11.0801 131.85 131.85 24.90
Atoms (fractional coordinates):
Rb 0.0000 0.0000 0.0000
Pb 0.1469 0.1469 0.4800
Pb 0.3386 0.3386 0.1837
Pb 0.6612 0.6612 0.8168
Pb 0.8528 0.8528 0.5205
O 0.0423 0.0423 0.7288
O 0.2906 0.2906 0.9394
O 0.3408 0.3408 0.6429
O 0.3507 0.3507 0.3927
O 0.6489 0.6489 0.6077
O 0.6589 0.6589 0.3576
O 0.7091 0.7091 0.0612
O 0.9575 0.9575 0.2719

---

# 4
Simulated powder diffraction line list
Compound: Rb8PbO2
Radiation: Cu Ka
Structure: a structure optimized by DFT (PBE)

Peak list (10 most intense, 2θ from 15° to 90°, by angle)
2θ 15.13, d 5.857, rel. 26
2θ 24.20, d 3.678, rel. 100
2θ 24.29, d 3.665, rel. 38
2θ 24.52, d 3.630, rel. 27
2θ 24.94, d 3.571, rel. 51
2θ 26.04, d 3.422, rel. 84
2θ 29.71, d 3.007, rel. 62
2θ 33.36, d 2.686, rel. 27
2θ 36.07, d 2.490, rel. 28
2θ 41.16, d 2.193, rel. 29

Atomic structure:
Lattice parameters (Å, degrees): 11.9645 11.9645 4.7293 90.03 90.03 131.07
Atoms (fractional coordinates):
Rb 0.1221 0.1221 0.2497
Rb 0.1699 0.4165 0.5583
Rb 0.1717 0.8283 0.0000
Rb 0.4165 0.1699 0.5583
Rb 0.5835 0.8301 0.4417
Rb 0.8283 0.1717 0.0000
Rb 0.8301 0.5835 0.4417
Rb 0.8779 0.8779 0.7503
Pb 0.5000 0.5000 0.0000
O 0.1017 0.8983 0.5000
O 0.8983 0.1017 0.5000

---

# 5
Simulated powder diffraction line list
Compound: Rb4PbO3
Radiation: Cu Ka
Structure: a structure optimized by DFT (PBE)

Peak list (10 most intense, 2θ from 15° to 90°, by angle)
2θ 17.05, d 5.201, rel. 18
2θ 24.47, d 3.638, rel. 23
2θ 26.80, d 3.326, rel. 50
2θ 27.27, d 3.270, rel. 68
2θ 27.66, d 3.225, rel. 100
2θ 28.14, d 3.171, rel. 42
2θ 33.16, d 2.702, rel. 40
2θ 34.30, d 2.614, rel. 33
2θ 36.97, d 2.432, rel. 22
2θ 43.70, d 2.071, rel. 26

Atomic structure:
Lattice parameters (Å, degrees): 7.3696 7.3696 11.3060 117.11 117.11 61.10
Atoms (fractional coordinates):
Rb 0.0749 0.9251 0.5000
Rb 0.1757 0.3509 0.4148
Rb 0.3341 0.6500 0.8229
Rb 0.3509 0.1757 0.9148
Rb 0.5108 0.8240 0.2400
Rb 0.6500 0.3341 0.3229
Rb 0.8240 0.5108 0.7400
Rb 0.9251 0.0749 0.0000
Pb 0.0028 0.6966 0.1254
Pb 0.6966 0.0028 0.6254
O 0.0121 0.0427 0.7629
O 0.0427 0.0121 0.2629
O 0.1891 0.6288 0.9934
O 0.6288 0.1891 0.4934
O 0.6775 0.8165 0.9865
O 0.8165 0.6775 0.4865

---

# 6
Simulated powder diffraction line list
Compound: Rb8PbO6
Radiation: Cu Ka
Structure: a structure optimized by DFT (PBE)

Peak list (10 most intense, 2θ from 15° to 90°, by angle)
2θ 25.34, d 3.515, rel. 47
2θ 25.74, d 3.461, rel. 57
2θ 26.20, d 3.401, rel. 100
2θ 27.00, d 3.302, rel. 54
2θ 28.71, d 3.109, rel. 51
2θ 29.19, d 3.060, rel. 54
2θ 32.64, d 2.744, rel. 34
2θ 35.01, d 2.563, rel. 33
2θ 36.40, d 2.468, rel. 42
2θ 38.68, d 2.328, rel. 34

Atomic structure:
Lattice parameters (Å, degrees): 8.1275 7.7968 12.4295 90.00 90.00 90.00
Atoms (fractional coordinates):
Rb 0.0000 0.0782 0.0656
Rb 0.0000 0.1520 0.5924
Rb 0.2034 0.5417 0.7741
Rb 0.2135 0.6489 0.5000
Rb 0.2222 0.9830 0.8090
Rb 0.2778 0.0170 0.3090
Rb 0.2865 0.3511 0.0000
Rb 0.2966 0.4583 0.2741
Rb 0.5000 0.8480 0.0924
Rb 0.5000 0.9218 0.5656
Rb 0.7034 0.4583 0.2741
Rb 0.7135 0.3511 0.0000
Rb 0.7222 0.0170 0.3090
Rb 0.7778 0.9830 0.8090
Rb 0.7865 0.6489 0.5000
Rb 0.7966 0.5417 0.7741
Pb 0.0000 0.6622 0.0909
Pb 0.5000 0.3378 0.5909
O 0.0000 0.2392 0.8547
O 0.0000 0.4038 0.1449
O 0.0000 0.7865 0.6562
O 0.0000 0.8196 0.2302
O 0.2125 0.7143 0.9963
O 0.2875 0.2857 0.4963
O 0.5000 0.1804 0.7302
O 0.5000 0.2135 0.1562
O 0.5000 0.5962 0.6449
O 0.5000 0.7608 0.3547
O 0.7125 0.2857 0.4963
O 0.7875 0.7143 0.9963

---

# 7
Simulated powder diffraction line list
Compound: Rb2Pb2O3
Radiation: Cu Ka
Structure: a structure optimized by DFT (PBE)

Peak list (10 most intense, 2θ from 15° to 90°, by angle)
2θ 19.85, d 4.474, rel. 23
2θ 28.21, d 3.163, rel. 100
2θ 34.73, d 2.583, rel. 5
2θ 40.32, d 2.237, rel. 23
2θ 45.33, d 2.001, rel. 13
2θ 49.94, d 1.826, rel. 41
2θ 58.34, d 1.582, rel. 15
2θ 62.26, d 1.491, rel. 7
2θ 66.04, d 1.415, rel. 17
2θ 80.30, d 1.196, rel. 19

Atomic structure:
Lattice parameters (Å, degrees): 7.7483 7.7483 7.7483 109.47 109.47 109.47
Atoms (fractional coordinates):
Rb 0.0000 0.4692 0.5000
Rb 0.0308 0.0308 0.0308
Rb 0.4692 0.5000 0.0000
Rb 0.5000 0.0000 0.4692
Pb 0.0000 0.0088 0.5000
Pb 0.0088 0.5000 0.0000
Pb 0.4912 0.4912 0.4912
Pb 0.5000 0.0000 0.0088
O 0.2243 0.7500 0.9743
O 0.2500 0.5257 0.2757
O 0.2757 0.2500 0.5257
O 0.5257 0.2757 0.2500
O 0.7500 0.9743 0.2243
O 0.9743 0.2243 0.7500

---

# 8
Simulated powder diffraction line list
Compound: RbRuPb2O8
Radiation: Cu Ka
Structure: a structure optimized by DFT (PBE)

Peak list (10 most intense, 2θ from 15° to 90°, by angle)
2θ 15.53, d 5.706, rel. 36
2θ 24.93, d 3.572, rel. 34
2θ 26.89, d 3.315, rel. 100
2θ 27.43, d 3.252, rel. 35
2θ 27.77, d 3.213, rel. 67
2θ 28.00, d 3.187, rel. 57
2θ 30.79, d 2.904, rel. 39
2θ 31.36, d 2.853, rel. 57
2θ 38.74, d 2.324, rel. 40
2θ 44.64, d 2.030, rel. 28

Atomic structure:
Lattice parameters (Å, degrees): 4.4360 5.7655 7.6880 90.98 105.22 97.67
Atoms (fractional coordinates):
Rb 0.0000 0.0000 0.0000
Ru 0.5000 0.0000 0.5000
Pb 0.3227 0.4520 0.6886
Pb 0.6773 0.5480 0.3114
O 0.1513 0.5135 0.9983
O 0.2054 0.1689 0.3706
O 0.2282 0.6809 0.4321
O 0.3638 0.0486 0.7107
O 0.6362 0.9514 0.2893
O 0.7718 0.3191 0.5679
O 0.7946 0.8311 0.6294
O 0.8487 0.4865 0.0017

---

# 9
Simulated powder diffraction line list
Compound: Rb3Tc2PbO8
Radiation: Cu Ka
Structure: a structure optimized by DFT (PBE)

Peak list (10 most intense, 2θ from 15° to 90°, by angle)
2θ 19.49, d 4.556, rel. 21
2θ 27.17, d 3.282, rel. 96
2θ 28.21, d 3.163, rel. 100
2θ 39.57, d 2.278, rel. 48
2θ 47.35, d 1.920, rel. 12
2θ 49.30, d 1.848, rel. 36
2θ 49.94, d 1.826, rel. 20
2θ 53.25, d 1.720, rel. 11
2θ 58.34, d 1.582, rel. 17
2θ 65.51, d 1.425, rel. 17

Atomic structure:
Lattice parameters (Å, degrees): 6.3267 6.3267 8.1991 90.00 90.00 120.00
Atoms (fractional coordinates):
Rb 0.0000 0.0000 0.0000
Rb 0.3333 0.6667 0.6699
Rb 0.6667 0.3333 0.3301
Tc 0.3333 0.6667 0.2197
Tc 0.6667 0.3333 0.7803
Pb 0.0000 0.0000 0.5000
O 0.1784 0.3568 0.3055
O 0.1784 0.8216 0.3055
O 0.3333 0.6667 0.0039
O 0.3568 0.1784 0.6945
O 0.6432 0.8216 0.3055
O 0.6667 0.3333 0.9961
O 0.8216 0.1784 0.6945
O 0.8216 0.6432 0.6945

---

# 10
Simulated powder diffraction line list
Compound: Rb2TcPb2O6
Radiation: Cu Ka
Structure: a structure optimized by DFT (PBE)

Peak list (10 most intense, 2θ from 15° to 90°, by angle)
2θ 19.10, d 4.647, rel. 21
2θ 27.35, d 3.261, rel. 63
2θ 29.98, d 2.980, rel. 46
2θ 30.11, d 2.968, rel. 26
2θ 31.27, d 2.861, rel. 81
2θ 34.42, d 2.605, rel. 50
2θ 34.97, d 2.566, rel. 100
2θ 48.21, d 1.888, rel. 33
2θ 51.51, d 1.774, rel. 30
2θ 55.91, d 1.644, rel. 32

Atomic structure:
Lattice parameters (Å, degrees): 6.0033 6.0033 6.8110 98.59 98.59 117.55
Atoms (fractional coordinates):
Rb 0.1716 0.8284 0.0000
Rb 0.8284 0.1716 0.0000
Tc 0.0000 0.0000 0.5000
Pb 0.3354 0.6646 0.5000
Pb 0.6646 0.3354 0.5000
O 0.0492 0.3302 0.6675
O 0.2009 0.2009 0.3254
O 0.3302 0.0492 0.6675
O 0.6698 0.9508 0.3325
O 0.7991 0.7991 0.6746
O 0.9508 0.6698 0.3325